Starting from a GGA-PBE-relaxed structure, the powder diffractogram of Pr2Nd3Dy3 was calculated for λ = 1.5418 Å (Cu Kα).
Lines closer than 0.1° are merged.

Structural model:
a = 16.3355 Å, b = 5.9055 Å, c = 6.1031 Å
α = 90.00°, β = 111.33°, γ = 90.00°
Space group C2/m (No. 12)
Unique sites:
Pr1 0.2493 0.0000 0.1845
Nd1 0.0000 0.5000 0.5000
Nd2 0.1319 0.5000 0.1866
Dy1 0.0000 0.0000 0.0000
Dy2 0.1284 0.0000 0.5794

Most intense lines, 10 to 80 degrees two-theta, by angle:
index  d_spacing  I/Imax
2 0 -2  3.051  452
0 2 0  2.953  613
3 1 1  2.843  984
5 1 -1  2.822  1000
2 2 -2  2.122  327
3 3 1  1.683  239

=====

Starting from a GGA-PBE-relaxed structure, the powder diffractogram of Pr2NdDy4 was calculated for λ = 1.5418 Å (Cu Kα).
Lines closer than 0.1° are merged.

Structural model:
a = 9.2760 Å, b = 9.4124 Å, c = 6.4842 Å
α = 90.00°, β = 122.47°, γ = 90.00°
Space group C2/m (No. 12)
Unique sites:
Pr1 0.0496 0.0000 0.2716
Nd1 0.0000 0.5000 0.5000
Dy1 0.2141 0.3123 0.2146

Most intense lines, 10 to 80 degrees two-theta, by angle:
index  d_spacing  I/Imax
2 2 0  3.006  1000
3 1 -1  2.931  356
1 3 -1  2.814  610
0 0 2  2.735  229
2 2 -2  2.637  275
2 0 1  2.592  216